Simulated X-ray diffraction stick pattern of Th3Pt5 for Cu Kα, 1.54184 Å, from a structure optimized by DFT (GGA-PBE).

Peak list (8 most intense, 10 to 80 degrees two-theta, in order of falling intensity)
| hkl | two_theta | Rel. int. |
| --- | --- | --- |
| 1 1 1 | 34.1 | 1000 |
| 3 0 0 | 40.5 | 528 |
| 3 0 2 | 67.0 | 244 |
| 4 1 1 | 69.6 | 202 |
| 2 2 1 | 54.0 | 189 |
| 2 1 0 | 35.5 | 185 |
| 2 1 1 | 43.8 | 180 |
| 0 0 2 | 51.0 | 124 |

Crystal structure
```
data_Th3Pt5
_cell_length_a 7.7175
_cell_length_b 7.7175
_cell_length_c 3.5840
_cell_angle_alpha 90.00
_cell_angle_beta 90.00
_cell_angle_gamma 120.00
_space_group_name_H-M_alt 'P 1'
_space_group_IT_number 1
loop_
_space_group_symop_operation_xyz
'x,y,z'
loop_
_atom_site_label
_atom_site_type_symbol
_atom_site_fract_x
_atom_site_fract_y
_atom_site_fract_z
Th1 Th 0.0000 0.7226 0.0000
Th2 Th 0.2774 0.2774 0.0000
Th3 Th 0.7226 0.0000 0.0000
Pt1 Pt 0.0000 0.3388 0.5000
Pt2 Pt 0.3333 0.6667 0.0000
Pt3 Pt 0.3388 0.0000 0.5000
Pt4 Pt 0.6612 0.6612 0.5000
Pt5 Pt 0.6667 0.3333 0.0000
```